Starting from the GGA-PBE geometry in OQMD, the powder diffractogram of Co9Hg was calculated for Cu Kα X-rays.

Largest 6 diffraction maxima, sorted by position, 2θ from 5° to 70°:
| 2θ (°) | I/Imax |
| --- | --- |
| 5.68 | 100.0 |
| 7.57 | 24.1 |
| 13.27 | 14.8 |
| 43.72 | 28.4 |
| 44.93 | 40.4 |
| 50.99 | 26.2 |

Structure:
```
Co9Hg
1.0
2.5332 0.0000 0.0000
0.0000 2.5332 0.0000
0.0000 0.0000 46.7148
Co Hg
18 2
direct
0.2500 0.2500 0.0184
0.2500 0.2500 0.0908
0.2500 0.2500 0.1618
0.2500 0.2500 0.2338
0.2500 0.2500 0.3056
0.2500 0.2500 0.7293
0.2500 0.2500 0.8023
0.2500 0.2500 0.8747
0.2500 0.2500 0.9462
0.7500 0.7500 0.0538
0.7500 0.7500 0.1253
0.7500 0.7500 0.1977
0.7500 0.7500 0.2707
0.7500 0.7500 0.6944
0.7500 0.7500 0.7662
0.7500 0.7500 0.8382
0.7500 0.7500 0.9092
0.7500 0.7500 0.9816
0.2500 0.2500 0.6434
0.7500 0.7500 0.3566
```